No. 1
Structure and theoretical powder XRD pattern of Dy2ErZn3FeAu2 (a PBE-relaxed structure; Cu Kα, 1.54184 Å).

Peak list (8 most intense, 5 to 70 degrees two-theta, in order of rising 2θ)
2θ 24.50, rel. 20, hkl 0 0 2
2θ 33.59, rel. 100, hkl 1 3 1
2θ 36.58, rel. 53, hkl 1 4 0
2θ 37.82, rel. 29, hkl 0 4 2
2θ 43.12, rel. 31, hkl 0 3 3
2θ 44.52, rel. 20, hkl 1 4 2
2θ 46.20, rel. 19, hkl 2 0 0
2θ 65.03, rel. 18, hkl 2 3 3

Crystal structure
```
data_Dy2ErZn3FeAu2
_cell_length_a 3.9302
_cell_length_b 12.5699
_cell_length_c 7.2778
_cell_angle_alpha 90.00
_cell_angle_beta 90.00
_cell_angle_gamma 90.00
_symmetry_space_group_name_H-M 'A m m 2'
_symmetry_Int_Tables_number 38
_symmetry_space_group_name_Hall 'A 2 -2'
loop_
_atom_site_label
_atom_site_type_symbol
_atom_site_fract_x
_atom_site_fract_y
_atom_site_fract_z
_atom_site_occupancy
Dy1 Dy 0.0000 0.1977 0.0000 1
Er1 Er 0.0000 0.0000 0.5920 1
Zn1 Zn 0.5000 0.0000 0.9673 1
Zn2 Zn 0.5000 0.1149 0.3136 1
Fe1 Fe 0.0000 0.0000 0.1990 1
Au1 Au 0.5000 0.1652 0.6968 1
```

No. 2
Structure and theoretical powder XRD pattern of DyEr2Ga4Au (a PBE-relaxed structure; Cu Kα, 1.54184 Å).

Peak list (8 most intense, 5 to 70 degrees two-theta, in order of rising 2θ)
2θ 27.07, rel. 14, hkl 2 0 0
2θ 33.38, rel. 100, hkl 1 1 3
2θ 34.81, rel. 45, hkl 2 1 1
2θ 40.82, rel. 22, hkl 0 2 0
2θ 41.13, rel. 12, hkl 2 0 4
2θ 51.96, rel. 19, hkl 3 0 4
2θ 53.66, rel. 13, hkl 1 2 4
2θ 65.77, rel. 11, hkl 2 1 7

Crystal structure
```
data_DyEr2Ga4Au
_cell_length_a 6.5870
_cell_length_b 4.4215
_cell_length_c 11.7880
_cell_angle_alpha 90.00
_cell_angle_beta 90.00
_cell_angle_gamma 90.00
_symmetry_space_group_name_H-M 'A m m 2'
_symmetry_Int_Tables_number 38
_symmetry_space_group_name_Hall 'A 2 -2'
loop_
_atom_site_label
_atom_site_type_symbol
_atom_site_fract_x
_atom_site_fract_y
_atom_site_fract_z
_atom_site_occupancy
Dy1 Dy 0.0000 0.0000 0.0000 1
Er1 Er 0.0000 0.0000 0.2799 1
Er2 Er 0.5000 0.0000 0.1493 1
Ga1 Ga 0.2067 0.0000 0.6138 1
Ga2 Ga 0.3119 0.0000 0.8259 1
Au1 Au 0.5000 0.0000 0.4338 1
```

No. 3
Structure and theoretical powder XRD pattern of DyErMg2Au4 (a PBE-relaxed structure; Cu Kα, 1.54184 Å).

Peak list (8 most intense, 5 to 70 degrees two-theta, in order of rising 2θ)
2θ 22.37, rel. 20, hkl 1 1 0
2θ 25.64, rel. 16, hkl 1 0 1
2θ 36.47, rel. 26, hkl 0 0 2
2θ 36.69, rel. 26, hkl 2 0 0
2θ 37.09, rel. 100, hkl 1 2 1
2θ 52.70, rel. 18, hkl 2 0 2
2θ 66.05, rel. 18, hkl 1 2 3
2θ 66.34, rel. 19, hkl 3 2 1

Crystal structure
```
data_DyErMg2Au4
_cell_length_a 4.8986
_cell_length_b 6.7661
_cell_length_c 4.9271
_cell_angle_alpha 90.00
_cell_angle_beta 90.00
_cell_angle_gamma 90.00
_symmetry_space_group_name_H-M 'P m m 2'
_symmetry_Int_Tables_number 25
_symmetry_space_group_name_Hall 'P 2 -2'
loop_
_atom_site_label
_atom_site_type_symbol
_atom_site_fract_x
_atom_site_fract_y
_atom_site_fract_z
_atom_site_occupancy
Dy1 Dy 0.0000 0.0000 0.0000 1
Er1 Er 0.5000 0.5000 0.5239 1
Mg1 Mg 0.0000 0.5000 0.0106 1
Mg2 Mg 0.5000 0.0000 0.5126 1
Au1 Au 0.0000 0.2510 0.4995 1
Au2 Au 0.5000 0.2531 0.0246 1
```

No. 4
Structure and theoretical powder XRD pattern of DyEr2Zn3NiAu2 (a PBE-relaxed structure; Cu Kα, 1.54184 Å).

Peak list (8 most intense, 5 to 70 degrees two-theta, in order of rising 2θ)
2θ 14.14, rel. 14, hkl 0 2 0
2θ 24.63, rel. 21, hkl 0 3 1
2θ 33.79, rel. 100, hkl 1 0 2
2θ 36.80, rel. 55, hkl 1 2 2
2θ 37.99, rel. 20, hkl 0 5 1
2θ 43.42, rel. 21, hkl 0 3 3
2θ 44.74, rel. 14, hkl 1 5 1
2θ 46.50, rel. 19, hkl 2 0 0

Crystal structure
```
data_DyEr2Zn3NiAu2
_cell_length_a 3.9059
_cell_length_b 12.5505
_cell_length_c 7.2103
_cell_angle_alpha 90.00
_cell_angle_beta 90.00
_cell_angle_gamma 90.00
_symmetry_space_group_name_H-M 'A m m 2'
_symmetry_Int_Tables_number 38
_symmetry_space_group_name_Hall 'A 2 -2'
loop_
_atom_site_label
_atom_site_type_symbol
_atom_site_fract_x
_atom_site_fract_y
_atom_site_fract_z
_atom_site_occupancy
Dy1 Dy 0.0000 0.0000 0.0000 1
Er1 Er 0.0000 0.1972 0.5930 1
Zn1 Zn 0.5000 0.0000 0.6253 1
Zn2 Zn 0.5000 0.1154 0.2818 1
Ni1 Ni 0.0000 0.0000 0.3976 1
Au1 Au 0.5000 0.1686 0.8945 1
```

No. 5
Structure and theoretical powder XRD pattern of DyErSi2Au2 (a PBE-relaxed structure; Cu Kα, 1.54184 Å).

Peak list (8 most intense, 5 to 70 degrees two-theta, in order of rising 2θ)
2θ 26.58, rel. 53, hkl 1 0 1
2θ 33.75, rel. 100, hkl 0 1 2
2θ 41.78, rel. 57, hkl 1 1 0
2θ 43.38, rel. 17, hkl 1 0 3
2θ 48.32, rel. 11, hkl 0 0 4
2θ 50.21, rel. 10, hkl 0 2 1
2θ 54.75, rel. 25, hkl 2 0 2
2θ 65.75, rel. 26, hkl 1 1 4

Crystal structure
```
data_DyErSi2Au2
_cell_length_a 4.3241
_cell_length_b 4.3241
_cell_length_c 7.5348
_cell_angle_alpha 90.00
_cell_angle_beta 90.00
_cell_angle_gamma 120.00
_symmetry_space_group_name_H-M 'P 3 m 1'
_symmetry_Int_Tables_number 156
_symmetry_space_group_name_Hall 'P 3 -2"'
loop_
_atom_site_label
_atom_site_type_symbol
_atom_site_fract_x
_atom_site_fract_y
_atom_site_fract_z
_atom_site_occupancy
Dy1 Dy 0.0000 0.0000 0.0000 1
Er1 Er 0.0000 0.0000 0.4996 1
Si1 Si 0.3333 0.6667 0.2195 1
Si2 Si 0.6667 0.3333 0.7183 1
Au1 Au 0.3333 0.6667 0.7632 1
Au2 Au 0.6667 0.3333 0.2756 1
```

No. 6
Structure and theoretical powder XRD pattern of Dy4Ga12Au (a PBE-relaxed structure; Cu Kα, 1.54184 Å).

Peak list (8 most intense, 5 to 70 degrees two-theta, in order of rising 2θ)
2θ 29.11, rel. 64, hkl 2 2 0
2θ 32.64, rel. 19, hkl 3 1 0
2θ 35.85, rel. 100, hkl 2 2 2
2θ 38.84, rel. 30, hkl 3 2 1
2θ 41.64, rel. 85, hkl 4 0 0
2θ 49.26, rel. 19, hkl 3 3 2
2θ 60.35, rel. 48, hkl 4 4 0
2θ 68.38, rel. 19, hkl 6 2 0

Crystal structure
```
data_Dy4Ga12Au
_cell_length_a 8.6762
_cell_length_b 8.6762
_cell_length_c 8.6762
_cell_angle_alpha 90.00
_cell_angle_beta 90.00
_cell_angle_gamma 90.00
_symmetry_space_group_name_H-M 'I m -3 m'
_symmetry_Int_Tables_number 229
_symmetry_space_group_name_Hall '-I 4 2 3'
loop_
_atom_site_label
_atom_site_type_symbol
_atom_site_fract_x
_atom_site_fract_y
_atom_site_fract_z
_atom_site_occupancy
Dy1 Dy 0.2500 0.2500 0.2500 1
Ga1 Ga 0.0000 0.0000 0.3043 1
Ga2 Ga 0.0000 0.2500 0.5000 1
Au1 Au 0.0000 0.0000 0.0000 1
```

Which formula does entry 1 have?
Dy2ErZn3FeAu2